For PuMgRu, a PBE-relaxed structure gives the simulated X-ray diffraction stick pattern in this record (Cu Kα (λ = 1.5418 Å)).

Principal peaks in the range 2θ from 10° to 90°, in order of rising 2θ:
17.14°, I = 72
22.40°, I = 41
31.67°, I = 68
32.91°, I = 52
33.31°, I = 100
37.34°, I = 37
40.18°, I = 37
42.04°, I = 37
46.98°, I = 32
47.53°, I = 52

Crystal structure
Unit cell a=6.228 b=6.228 c=6.228 alpha=139.62 beta=128.18 gamma=67.67
Element x y z (fractional)
Pu  0.196  0.196  0.000
Pu  0.804  0.804  0.000
Mg  0.258  0.500  0.758
Mg  0.742  0.500  0.242
Ru  0.366  0.866  0.500
Ru  0.634  0.134  0.500

For PuMgTlRu, a PBE-relaxed structure gives the simulated X-ray diffraction stick pattern in this record (Cu Kα (λ = 1.5418 Å)).

Principal peaks in the range 2θ from 10° to 90°, in order of rising 2θ:
10.93°, I = 38
29.57°, I = 51
33.21°, I = 15
35.38°, I = 100
39.12°, I = 46
52.24°, I = 17
53.31°, I = 14
56.53°, I = 16
65.08°, I = 12
68.48°, I = 30

Crystal structure
Unit cell a=3.256 b=3.256 c=8.092 alpha=90.00 beta=90.00 gamma=90.00
Element x y z (fractional)
Pu  0.000  0.000  0.000
Mg  0.000  0.000  0.403
Tl  0.500  0.500  0.678
Ru  0.500  0.500  0.208